The following is a theoretical powder X-ray diffraction pattern of NaMn2O4. It was derived from a crystal structure in the Materials Project, relaxed with PBE+U, using Cu Kα, 1.54184 Å.

Top 6 peaks for 5 to 70 degrees two-theta, sorted by position:
two_theta	d/Å	Rel. int.
17.6	5.037	100
17.8	4.990	66
32.8	2.728	59
35.1	2.558	51
42.8	2.114	59
59.4	1.556	62

abc: 6.248 6.248 6.248
angles: 123.24 122.40 85.18
Fractional positions:
Na  0.365  0.115  0.250
Na  0.635  0.885  0.750
Mn  0.000  0.000  0.500
Mn  0.000  0.500  0.000
Mn  0.000  0.500  0.500
Mn  0.500  0.500  0.000
O  0.203  0.745  0.459
O  0.214  0.255  0.959
O  0.215  0.250  0.535
O  0.215  0.681  0.965
O  0.785  0.319  0.035
O  0.785  0.750  0.465
O  0.786  0.745  0.041
O  0.797  0.255  0.541